# 1
# MgAgB2
Calculated PXRD pattern, λ = 1.5418 Å (Cu Kα). Input: a cell relaxed with PBE.

Most intense lines, 10° ≤ 2θ ≤ 90°, low angle first:
| 2θ/deg | I/Imax |
| --- | --- |
| 22.24 | 66 |
| 24.72 | 71 |
| 29.41 | 25 |
| 36.16 | 100 |
| 45.39 | 16 |
| 48.81 | 41 |
| 49.31 | 20 |
| 54.72 | 29 |
| 68.85 | 14 |
| 83.60 | 16 |

Atomic structure:
```
data_MgAgB2
_chemical_formula_sum 'Mg2 Ag2 B4'
_symmetry_space_group_name_H-M 'P 1'
_symmetry_Int_Tables_number 1
_symmetry_space_group_name_Hall 'P 1'
_cell_length_a 8.4092
_cell_length_b 8.4092
_cell_length_c 8.4092
_cell_angle_alpha 154.61
_cell_angle_beta 154.61
_cell_angle_gamma 36.22
loop_
_atom_site_label
_atom_site_type_symbol
_atom_site_fract_x
_atom_site_fract_y
_atom_site_fract_z
_atom_site_occupancy
Mg1 Mg 0.3750 0.6250 0.7500 1
Mg2 Mg 0.6250 0.3750 0.2500 1
Ag1 Ag 0.1250 0.8750 0.2500 1
Ag2 Ag 0.8750 0.1250 0.7500 1
B1 B 0.0000 0.0000 0.0000 1
B2 B 0.0000 0.0000 0.5000 1
B3 B 0.0000 0.5000 0.0000 1
B4 B 0.5000 0.0000 0.5000 1
```



# 2
# CePS3
Calculated PXRD pattern, λ = 1.5418 Å (Cu Kα). Input: a cell relaxed with PBE.

Most intense lines, 10° ≤ 2θ ≤ 90°, low angle first:
| 2θ/deg | I/Imax |
| --- | --- |
| 14.29 | 100 |
| 14.84 | 32 |
| 15.72 | 27 |
| 23.80 | 50 |
| 25.53 | 36 |
| 29.28 | 37 |
| 31.48 | 47 |
| 37.50 | 31 |
| 38.18 | 45 |
| 48.71 | 24 |

Atomic structure:
```
data_CePS3
_chemical_formula_sum 'Ce2 P2 S6'
_symmetry_space_group_name_H-M 'P 1'
_symmetry_Int_Tables_number 1
_symmetry_space_group_name_Hall 'P 1'
_cell_length_a 7.6815
_cell_length_b 7.6815
_cell_length_c 7.6815
_cell_angle_alpha 130.80
_cell_angle_beta 78.01
_cell_angle_gamma 123.66
loop_
_atom_site_label
_atom_site_type_symbol
_atom_site_fract_x
_atom_site_fract_y
_atom_site_fract_z
_atom_site_occupancy
Ce1 Ce 0.1416 0.2500 0.3916 1
Ce2 Ce 0.8584 0.7500 0.6084 1
P1 P 0.4068 0.9287 0.9781 1
P2 P 0.9506 0.4287 0.0219 1
S1 S 0.0588 0.7146 0.8442 1
S2 S 0.1541 0.3070 0.8070 1
S3 S 0.1541 0.8471 0.3471 1
S4 S 0.4999 0.3471 0.1930 1
S5 S 0.4999 0.8070 0.6529 1
S6 S 0.8704 0.2146 0.1558 1
```



# 3
# BaHoAlTe4
Calculated PXRD pattern, λ = 1.5418 Å (Cu Kα). Input: a cell relaxed with PBE.

Most intense lines, 10° ≤ 2θ ≤ 90°, low angle first:
| 2θ/deg | I/Imax |
| --- | --- |
| 26.55 | 100 |
| 26.95 | 67 |
| 27.52 | 61 |
| 29.39 | 96 |
| 29.93 | 83 |
| 30.87 | 76 |
| 31.05 | 80 |
| 38.91 | 45 |
| 45.77 | 44 |
| 47.44 | 49 |

Atomic structure:
```
data_BaHoAlTe4
_chemical_formula_sum 'Ba2 Ho2 Al2 Te8'
_symmetry_space_group_name_H-M 'P 1'
_symmetry_Int_Tables_number 1
_symmetry_space_group_name_Hall 'P 1'
_cell_length_a 7.2801
_cell_length_b 7.6686
_cell_length_c 9.2611
_cell_angle_alpha 90.00
_cell_angle_beta 107.33
_cell_angle_gamma 90.00
loop_
_atom_site_label
_atom_site_type_symbol
_atom_site_fract_x
_atom_site_fract_y
_atom_site_fract_z
_atom_site_occupancy
Ba1 Ba 0.2238 0.2500 0.0519 1
Ba2 Ba 0.7762 0.7500 0.9481 1
Ho1 Ho 0.2316 0.2500 0.5576 1
Ho2 Ho 0.7684 0.7500 0.4424 1
Al1 Al 0.2321 0.7500 0.3282 1
Al2 Al 0.7679 0.2500 0.6718 1
Te1 Te 0.0150 0.5098 0.7172 1
Te2 Te 0.0150 0.9902 0.7172 1
Te3 Te 0.4271 0.7500 0.1349 1
Te4 Te 0.4567 0.7500 0.6011 1
Te5 Te 0.5433 0.2500 0.3989 1
Te6 Te 0.5729 0.2500 0.8651 1
Te7 Te 0.9850 0.0098 0.2828 1
Te8 Te 0.9850 0.4902 0.2828 1
```



# 4
# LaSm3
Calculated PXRD pattern, λ = 1.5418 Å (Cu Kα). Input: a cell relaxed with PBE.

Most intense lines, 10° ≤ 2θ ≤ 90°, low angle first:
| 2θ/deg | I/Imax |
| --- | --- |
| 27.92 | 23 |
| 30.18 | 26 |
| 31.82 | 100 |
| 41.58 | 16 |
| 49.40 | 20 |
| 54.65 | 22 |
| 58.99 | 23 |
| 59.96 | 16 |
| 81.34 | 9 |
| 83.77 | 9 |

Atomic structure:
```
data_LaSm3
_chemical_formula_sum 'La1 Sm3'
_symmetry_space_group_name_H-M 'P 1'
_symmetry_Int_Tables_number 1
_symmetry_space_group_name_Hall 'P 1'
_cell_length_a 3.6938
_cell_length_b 5.9216
_cell_length_c 6.3851
_cell_angle_alpha 90.00
_cell_angle_beta 90.00
_cell_angle_gamma 90.00
loop_
_atom_site_label
_atom_site_type_symbol
_atom_site_fract_x
_atom_site_fract_y
_atom_site_fract_z
_atom_site_occupancy
La1 La 0.0000 0.0000 0.0000 1
Sm1 Sm 0.0000 0.5000 0.3349 1
Sm2 Sm 0.5000 0.0000 0.5017 1
Sm3 Sm 0.5000 0.5000 0.8343 1
```



# 5
# Si7Se5
Calculated PXRD pattern, λ = 1.5418 Å (Cu Kα). Input: a cell relaxed with PBE.

Most intense lines, 10° ≤ 2θ ≤ 90°, low angle first:
| 2θ/deg | I/Imax |
| --- | --- |
| 16.47 | 100 |
| 26.45 | 27 |
| 28.21 | 70 |
| 33.29 | 65 |
| 38.67 | 58 |
| 39.06 | 90 |
| 40.33 | 49 |
| 50.89 | 25 |
| 52.95 | 26 |
| 57.10 | 21 |

Atomic structure:
```
data_Si7Se5
_chemical_formula_sum 'Si7 Se5'
_symmetry_space_group_name_H-M 'P 1'
_symmetry_Int_Tables_number 1
_symmetry_space_group_name_Hall 'P 1'
_cell_length_a 7.1672
_cell_length_b 7.1672
_cell_length_c 7.1672
_cell_angle_alpha 102.77
_cell_angle_beta 102.77
_cell_angle_gamma 123.92
loop_
_atom_site_label
_atom_site_type_symbol
_atom_site_fract_x
_atom_site_fract_y
_atom_site_fract_z
_atom_site_occupancy
Si1 Si 0.0000 0.0000 0.0000 1
Si2 Si 0.1639 0.6639 0.5000 1
Si3 Si 0.2206 0.9250 0.2956 1
Si4 Si 0.6293 0.9250 0.7044 1
Si5 Si 0.6639 0.1639 0.5000 1
Si6 Si 0.9250 0.2206 0.2956 1
Si7 Si 0.9250 0.6293 0.7044 1
Se1 Se 0.5151 0.5151 0.5671 1
Se2 Se 0.5151 0.9480 0.0000 1
Se3 Se 0.6350 0.6350 0.0000 1
Se4 Se 0.9480 0.5151 0.0000 1
Se5 Se 0.9480 0.9480 0.4329 1
```



# 6
# ScPaTe4
Calculated PXRD pattern, λ = 1.5418 Å (Cu Kα). Input: a cell relaxed with PBE.

Most intense lines, 10° ≤ 2θ ≤ 90°, low angle first:
| 2θ/deg | I/Imax |
| --- | --- |
| 12.27 | 16 |
| 12.58 | 48 |
| 27.39 | 100 |
| 27.71 | 45 |
| 35.22 | 24 |
| 35.36 | 29 |
| 42.26 | 18 |
| 43.17 | 34 |
| 45.79 | 26 |
| 51.28 | 18 |

Atomic structure:
```
data_ScPaTe4
_chemical_formula_sum 'Sc1 Pa1 Te4'
_symmetry_space_group_name_H-M 'P 1'
_symmetry_Int_Tables_number 1
_symmetry_space_group_name_Hall 'P 1'
_cell_length_a 7.0384
_cell_length_b 4.2775
_cell_length_c 7.2126
_cell_angle_alpha 90.00
_cell_angle_beta 90.43
_cell_angle_gamma 90.00
loop_
_atom_site_label
_atom_site_type_symbol
_atom_site_fract_x
_atom_site_fract_y
_atom_site_fract_z
_atom_site_occupancy
Sc1 Sc 0.0000 0.0000 0.0000 1
Pa1 Pa 0.0000 0.5000 0.5000 1
Te1 Te 0.2401 0.5000 0.1621 1
Te2 Te 0.2504 0.0000 0.6726 1
Te3 Te 0.7496 0.0000 0.3274 1
Te4 Te 0.7599 0.5000 0.8379 1
```